[1]
Starting from a crystal structure in Alexandria, relaxed with GGA-PBE, the powder XRD pattern of Ba2TeRuO6 was simulated for CuKα.
No peak broadening, texture or thermal motion is included.

Most intense lines, 2θ = 10–80°, low angle first:
2θ 18.2, rel. 13
2θ 22.5, rel. 13
2θ 26.6, rel. 37
2θ 30.2, rel. 100
2θ 33.8, rel. 43
2θ 40.7, rel. 24
2θ 46.0, rel. 25
2θ 53.6, rel. 20
2θ 56.0, rel. 22
2θ 62.7, rel. 19

Atomic structure:
a b c (Å): 10.8602 10.8602 10.8602
angles (deg): 31.66 31.66 31.66
Atoms (fractional coordinates):
Ba1 0.1186 0.1186 0.1186
Ba2 0.2921 0.2921 0.2921
Ba3 0.7079 0.7079 0.7079
Ba4 0.8814 0.8814 0.8814
Te1 0.0000 0.0000 0.0000
Te2 0.5000 0.5000 0.5000
Ru1 0.4106 0.4106 0.4106
Ru2 0.5894 0.5894 0.5894
O1 0.1587 0.6082 0.6082
O2 0.2086 0.2086 0.7041
O3 0.2086 0.7041 0.2086
O4 0.2959 0.7914 0.7914
O5 0.3918 0.3918 0.8413
O6 0.3918 0.8413 0.3918
O7 0.6082 0.1587 0.6082
O8 0.6082 0.6082 0.1587
O9 0.7041 0.2086 0.2086
O10 0.7914 0.2959 0.7914
O11 0.7914 0.7914 0.2959
O12 0.8413 0.3918 0.3918

[2]
Starting from a crystal structure in Alexandria, relaxed with GGA-PBE, the powder XRD pattern of Zn5GaPd6 was simulated for CuKα.
No peak broadening, texture or thermal motion is included.

Most intense lines, 2θ = 10–80°, low angle first:
2θ 27.1, rel. 6
2θ 40.5, rel. 100
2θ 41.4, rel. 94
2θ 43.1, rel. 84
2θ 56.0, rel. 19
2θ 61.3, rel. 14
2θ 63.8, rel. 12
2θ 73.1, rel. 33
2θ 76.6, rel. 29
2θ 78.4, rel. 27

Atomic structure:
a b c (Å): 4.3981 6.0526 6.6943
angles (deg): 90.00 102.25 90.00
Atoms (fractional coordinates):
Zn1 0.0000 0.0000 0.0000
Zn2 0.3375 0.5000 0.6603
Zn3 0.3394 0.0000 0.6656
Zn4 0.6606 0.0000 0.3344
Zn5 0.6625 0.5000 0.3397
Ga1 0.0000 0.5000 0.0000
Pd1 0.1583 0.2506 0.3290
Pd2 0.1583 0.7494 0.3290
Pd3 0.5000 0.2535 0.0000
Pd4 0.5000 0.7465 0.0000
Pd5 0.8417 0.2506 0.6710
Pd6 0.8417 0.7494 0.6710

[3]
Starting from a crystal structure in Alexandria, relaxed with GGA-PBE, the powder XRD pattern of Pu12AgRh6 was simulated for CuKα.
No peak broadening, texture or thermal motion is included.

Most intense lines, 2θ = 10–80°, low angle first:
2θ 26.8, rel. 32
2θ 29.4, rel. 22
2θ 36.2, rel. 100
2θ 36.3, rel. 36
2θ 38.2, rel. 88
2θ 55.1, rel. 17
2θ 56.6, rel. 13
2θ 63.8, rel. 23
2θ 67.7, rel. 22
2θ 67.9, rel. 11

Atomic structure:
a b c (Å): 7.4449 7.4449 7.4449
angles (deg): 90.13 90.13 90.13
Atoms (fractional coordinates):
Pu1 0.0540 0.3832 0.1394
Pu2 0.1394 0.0540 0.3832
Pu3 0.1872 0.5945 0.4611
Pu4 0.3832 0.1394 0.0540
Pu5 0.4055 0.5389 0.8128
Pu6 0.4611 0.1872 0.5945
Pu7 0.5389 0.8128 0.4055
Pu8 0.5945 0.4611 0.1872
Pu9 0.6168 0.8606 0.9460
Pu10 0.8128 0.4055 0.5389
Pu11 0.8606 0.9460 0.6168
Pu12 0.9460 0.6168 0.8606
Ag1 0.0000 0.0000 0.0000
Rh1 0.1174 0.2709 0.7483
Rh2 0.2517 0.8826 0.7291
Rh3 0.2709 0.7483 0.1174
Rh4 0.7291 0.2517 0.8826
Rh5 0.7483 0.1174 0.2709
Rh6 0.8826 0.7291 0.2517